Structure and theoretical powder diffraction line list of PmSbP (a DFT-relaxed cell (PBE, Alexandria); Cu Kα, 1.54184 Å).
Peak positions follow from Bragg's law for the DFT cell and can differ from measured ones.

Most intense lines, 5° ≤ 2θ ≤ 70°, low angle first:
two_theta, Rel. int.
16.87, 23.6
23.92, 46.2
31.81, 70.3
34.10, 100.0
36.22, 14.0
45.61, 25.5
47.34, 20.9
52.16, 16.7
58.16, 48.2
66.52, 17.3

Lattice parameters (Å, degrees): 3.9780 3.9780 10.5127 90.00 90.00 90.00
Fractional coordinates of all 6 atoms:
Pm 0.0000 0.0000 0.0000
Pm 0.5000 0.5000 0.5000
Sb 0.0000 0.0000 0.3172
Sb 0.5000 0.5000 0.8172
P 0.0000 0.0000 0.5606
P 0.5000 0.5000 0.0606

***

Structure and theoretical powder diffraction line list of Rb2NaCuO2 (a DFT-relaxed cell (PBE, Alexandria); Cu Kα, 1.54184 Å).
Peak positions follow from Bragg's law for the DFT cell and can differ from measured ones.

Most intense lines, 5° ≤ 2θ ≤ 70°, low angle first:
two_theta, Rel. int.
23.92, 13.7
28.02, 34.4
30.32, 36.0
31.91, 100.0
35.01, 27.0
37.60, 33.2
39.39, 19.4
45.43, 17.5
49.97, 15.3
60.85, 15.2

Lattice parameters (Å, degrees): 6.1567 10.2533 3.9930 90.00 90.00 90.00
Fractional coordinates of all 12 atoms:
Rb 0.1254 0.2489 0.0000
Rb 0.3746 0.7489 0.5000
Rb 0.6254 0.2511 0.5000
Rb 0.8746 0.7511 0.0000
Na 0.0000 0.0000 0.5000
Na 0.5000 0.5000 0.0000
Cu 0.0000 0.5000 0.5000
Cu 0.5000 0.0000 0.0000
O 0.2344 0.9201 0.0000
O 0.2656 0.4201 0.5000
O 0.7344 0.5799 0.5000
O 0.7656 0.0799 0.0000

***

Structure and theoretical powder diffraction line list of Cu7Pt5 (a DFT-relaxed cell (PBE, Alexandria); Cu Kα, 1.54184 Å).
Peak positions follow from Bragg's law for the DFT cell and can differ from measured ones.

Most intense lines, 5° ≤ 2θ ≤ 70°, low angle first:
two_theta, Rel. int.
11.06, 22.0
19.88, 13.2
25.93, 11.6
27.78, 12.2
36.62, 11.2
41.08, 100.0
41.33, 96.1
47.82, 32.2
48.01, 62.1
69.89, 10.1

Lattice parameters (Å, degrees): 3.8044 5.3837 8.0033 90.00 90.00 90.00
Fractional coordinates of all 12 atoms:
Cu 0.0000 0.0000 0.0000
Cu 0.0000 0.5000 0.3298
Cu 0.0000 0.5000 0.6702
Cu 0.5000 0.2517 0.1614
Cu 0.5000 0.2517 0.8386
Cu 0.5000 0.7483 0.1614
Cu 0.5000 0.7483 0.8386
Pt 0.0000 0.0000 0.3188
Pt 0.0000 0.0000 0.6812
Pt 0.0000 0.5000 0.0000
Pt 0.5000 0.2528 0.5000
Pt 0.5000 0.7472 0.5000

***

Structure and theoretical powder diffraction line list of BAsO4 (a DFT-relaxed cell (PBE, Alexandria); Cu Kα, 1.54184 Å).
Peak positions follow from Bragg's law for the DFT cell and can differ from measured ones.

Most intense lines, 5° ≤ 2θ ≤ 70°, low angle first:
two_theta, Rel. int.
22.14, 19.6
23.72, 45.2
25.40, 13.8
27.95, 100.0
39.82, 13.6
41.02, 15.1
45.16, 12.3
52.52, 15.0
52.63, 10.3
63.83, 13.0

Lattice parameters (Å, degrees): 4.6367 4.6367 10.5208 90.00 90.00 120.00
Fractional coordinates of all 18 atoms:
B 0.0000 0.5366 0.1667
B 0.4634 0.4634 0.5000
B 0.5366 0.0000 0.8333
As 0.0000 0.5410 0.6667
As 0.4590 0.4590 0.0000
As 0.5410 0.0000 0.3333
O 0.0855 0.3945 0.0565
O 0.1303 0.4042 0.5387
O 0.2739 0.8697 0.2054
O 0.3090 0.9145 0.7232
O 0.3945 0.0855 0.9435
O 0.4042 0.1303 0.4613
O 0.5958 0.7261 0.8720
O 0.6055 0.6910 0.3898
O 0.6910 0.6055 0.6102
O 0.7261 0.5958 0.1280
O 0.8697 0.2739 0.7946
O 0.9145 0.3090 0.2768